# LiPaFe2O6
Computed powder XRD pattern, a wavelength of 1.5418 Å. Input: a DFT-relaxed cell (GGA+U, Alexandria).

```
data_LiPaFe2O6
_cell_length_a 5.6349
_cell_length_b 5.6349
_cell_length_c 5.6349
_cell_angle_alpha 57.22
_cell_angle_beta 57.22
_cell_angle_gamma 57.22
_symmetry_space_group_name_H-M 'P 1'
_symmetry_Int_Tables_number 1
loop_
_symmetry_equiv_pos_as_xyz
'x,y,z'
loop_
_atom_site_label
_atom_site_type_symbol
_atom_site_fract_x
_atom_site_fract_y
_atom_site_fract_z
Li1 Li 0.0000 0.0000 0.0000
Pa1 Pa 0.4984 0.4984 0.4984
Fe1 Fe 0.2121 0.2121 0.2121
Fe2 Fe 0.7128 0.7128 0.7128
O1 O 0.0724 0.4321 0.8327
O2 O 0.3380 0.9192 0.5687
O3 O 0.4321 0.8327 0.0724
O4 O 0.5687 0.3380 0.9192
O5 O 0.8327 0.0724 0.4321
O6 O 0.9192 0.5687 0.3380
```

Most intense lines, 15 to 90 degrees two-theta, sorted by position:
Position (°2θ)  intensity
18.9  39.0
20.0  100.0
22.8  26.2
31.8  61.6
33.2  54.6
37.3  20.6
38.5  43.1
46.6  26.7
51.6  25.0
58.5  24.5